[1]
Theoretical X-ray diffraction stick pattern of W5Au for CuKα, from DFT lattice parameters and positions (PBE).
Intensities are scaled so that the largest is 100.

Cell lengths 4.729, 7.925, 7.925 Å; angles 19.47, 90.00, 90.00 degrees
Positions (direct):
W (0.000, 0.000, 0.000)
W (0.000, 0.332, 0.332)
W (0.000, 0.666, 0.666)
W (0.500, 0.233, 0.233)
W (0.500, 0.565, 0.565)
Au (0.500, 0.896, 0.896)

The 8 most intense peaks (10 to 90 degrees two-theta), most intense first:
Position (°2θ)  I_rel
42.48  100
39.51  82
38.06  51
37.76  35
76.86  25
54.69  24
71.81  22
63.90  21

[2]
Theoretical X-ray diffraction stick pattern of ZrWAu for CuKα, from DFT lattice parameters and positions (PBE).
Intensities are scaled so that the largest is 100.

Cell lengths 7.100, 7.034, 2.857 Å; angles 79.63, 77.06, 23.32 degrees
Positions (direct):
Zr (0.000, 0.000, 0.000)
W (0.331, 0.331, 0.669)
Au (0.673, 0.673, 0.327)

The 8 most intense peaks (10 to 90 degrees two-theta), most intense first:
Position (°2θ)  I_rel
37.42  100
39.94  21
42.41  18
13.07  17
70.88  15
74.28  14
59.66  13
47.81  13

[3]
Theoretical X-ray diffraction stick pattern of Y3Au for CuKα, from DFT lattice parameters and positions (PBE).
Intensities are scaled so that the largest is 100.

Cell lengths 9.097, 9.097, 9.097 Å; angles 96.66, 96.66, 140.19 degrees
Positions (direct):
Y (0.089, 0.397, 0.501)
Y (0.107, 0.251, 0.857)
Y (0.226, 0.727, 0.905)
Y (0.273, 0.178, 0.499)
Y (0.394, 0.250, 0.143)
Y (0.412, 0.911, 0.308)
Y (0.603, 0.104, 0.692)
Y (0.679, 0.774, 0.501)
Y (0.749, 0.606, 0.856)
Y (0.750, 0.893, 0.144)
Y (0.822, 0.321, 0.095)
Y (0.896, 0.588, 0.499)
Au (0.249, 0.042, 0.792)
Au (0.250, 0.458, 0.208)
Au (0.542, 0.751, 0.793)
Au (0.958, 0.750, 0.207)

The 8 most intense peaks (10 to 90 degrees two-theta), most intense first:
Position (°2θ)  I_rel
35.80  100
31.37  83
33.80  74
30.70  70
30.30  65
42.82  64
21.81  58
37.93  44

[4]
Theoretical X-ray diffraction stick pattern of YAu for CuKα, from DFT lattice parameters and positions (PBE).
Intensities are scaled so that the largest is 100.

Cell lengths 3.607, 3.607, 3.607 Å; angles 90.00, 90.00, 90.00 degrees
Positions (direct):
Y (0.000, 0.000, 0.000)
Au (0.500, 0.500, 0.500)

The 8 most intense peaks (10 to 90 degrees two-theta), most intense first:
Position (°2θ)  I_rel
35.18  100
63.13  37
50.61  18
85.03  17
24.68  16
74.38  11
57.09  7
43.45  5